(1)
The following is a simulated XRD peak list of Ti3O8. It was derived from a structure optimized by DFT (GGA-PBE), using a wavelength of 1.5418 Å.

Structure:
```
data_Ti3O8
_chemical_formula_sum 'Ti3 O8'
_space_group_name_H-M_alt 'P 1'
_space_group_IT_number 1
_cell_length_a 3.782
_cell_length_b 3.782
_cell_length_c 9.619
_cell_angle_alpha 90.00
_cell_angle_beta 90.00
_cell_angle_gamma 90.00
loop_
_space_group_symop_operation_xyz
'x,y,z'
loop_
_atom_site_label
_atom_site_type_symbol
_atom_site_fract_x
_atom_site_fract_y
_atom_site_fract_z
Ti1 Ti 0.000 0.000 0.000
Ti2 Ti 0.000 0.500 0.740
Ti3 Ti 0.500 0.000 0.260
O1 O 0.000 0.000 0.211
O2 O 0.000 0.000 0.789
O3 O 0.000 0.500 0.538
O4 O 0.000 0.500 0.958
O5 O 0.500 0.000 0.042
O6 O 0.500 0.000 0.462
O7 O 0.500 0.500 0.291
O8 O 0.500 0.500 0.709
```

The 12 most intense peaks (10° ≤ 2θ ≤ 80°), by intensity:
25.30 deg, 3.520 Å, rel. 1000
48.11 deg, 1.891 Å, rel. 321
37.40 deg, 2.405 Å, rel. 219
53.44 deg, 1.715 Å, rel. 209
55.13 deg, 1.666 Å, rel. 184
62.48 deg, 1.487 Å, rel. 152
74.73 deg, 1.270 Å, rel. 125
30.06 deg, 2.973 Å, rel. 87
23.52 deg, 3.782 Å, rel. 81
70.41 deg, 1.337 Å, rel. 80
18.45 deg, 4.809 Å, rel. 72
34.82 deg, 2.577 Å, rel. 70

---

(2)
The following is a simulated XRD peak list of LiCaP. It was derived from a structure optimized by DFT (GGA-PBE), using a wavelength of 1.5418 Å.

Structure:
```
data_LiCaP
_chemical_formula_sum 'Li4 Ca4 P4'
_space_group_name_H-M_alt 'P 1'
_space_group_IT_number 1
_cell_length_a 7.071
_cell_length_b 4.170
_cell_length_c 7.875
_cell_angle_alpha 90.00
_cell_angle_beta 90.00
_cell_angle_gamma 90.00
loop_
_space_group_symop_operation_xyz
'x,y,z'
loop_
_atom_site_label
_atom_site_type_symbol
_atom_site_fract_x
_atom_site_fract_y
_atom_site_fract_z
Li1 Li 0.140 0.250 0.062
Li2 Li 0.360 0.750 0.562
Li3 Li 0.640 0.250 0.438
Li4 Li 0.860 0.750 0.938
Ca1 Ca 0.022 0.250 0.690
Ca2 Ca 0.478 0.750 0.190
Ca3 Ca 0.522 0.250 0.810
Ca4 Ca 0.978 0.750 0.310
P1 P 0.233 0.750 0.890
P2 P 0.267 0.250 0.390
P3 P 0.733 0.750 0.610
P4 P 0.767 0.250 0.110
```

The 12 most intense peaks (10° ≤ 2θ ≤ 80°), by intensity:
35.18 deg, 2.551 Å, rel. 1000
33.78 deg, 2.654 Å, rel. 395
27.29 deg, 3.268 Å, rel. 311
40.61 deg, 2.222 Å, rel. 252
43.40 deg, 2.085 Å, rel. 244
34.08 deg, 2.631 Å, rel. 218
25.90 deg, 3.440 Å, rel. 204
36.51 deg, 2.461 Å, rel. 192
24.15 deg, 3.685 Å, rel. 129
44.82 deg, 2.022 Å, rel. 127
53.05 deg, 1.726 Å, rel. 122
22.58 deg, 3.938 Å, rel. 116

---

(3)
The following is a simulated XRD peak list of MgCd. It was derived from a structure optimized by DFT (GGA-PBE), using a wavelength of 1.5418 Å.

Structure:
```
data_MgCd
_chemical_formula_sum 'Mg3 Cd3'
_space_group_name_H-M_alt 'P 1'
_space_group_IT_number 1
_cell_length_a 4.953
_cell_length_b 8.137
_cell_length_c 8.137
_cell_angle_alpha 23.99
_cell_angle_beta 90.00
_cell_angle_gamma 90.00
loop_
_space_group_symop_operation_xyz
'x,y,z'
loop_
_atom_site_label
_atom_site_type_symbol
_atom_site_fract_x
_atom_site_fract_y
_atom_site_fract_z
Mg1 Mg 0.000 0.000 0.000
Mg2 Mg 0.000 0.328 0.328
Mg3 Mg 0.500 0.443 0.443
Cd1 Cd 0.000 0.666 0.666
Cd2 Cd 0.500 0.106 0.106
Cd3 Cd 0.500 0.781 0.781
```

The 12 most intense peaks (10° ≤ 2θ ≤ 80°), by intensity:
36.33 deg, 2.473 Å, rel. 1000
11.12 deg, 7.959 Å, rel. 629
38.49 deg, 2.339 Å, rel. 313
31.36 deg, 2.852 Å, rel. 207
28.78 deg, 3.102 Å, rel. 175
32.55 deg, 2.751 Å, rel. 146
65.31 deg, 1.429 Å, rel. 126
71.20 deg, 1.324 Å, rel. 123
48.70 deg, 1.870 Å, rel. 117
58.93 deg, 1.567 Å, rel. 112
68.46 deg, 1.370 Å, rel. 107
33.79 deg, 2.653 Å, rel. 86

---

(4)
The following is a simulated XRD peak list of KLaSn4O12. It was derived from a structure optimized by DFT (GGA-PBE), using a wavelength of 1.5418 Å.

Structure:
```
data_KLaSn4O12
_chemical_formula_sum 'K1 La1 Sn4 O12'
_space_group_name_H-M_alt 'P 1'
_space_group_IT_number 1
_cell_length_a 8.244
_cell_length_b 5.766
_cell_length_c 5.766
_cell_angle_alpha 90.24
_cell_angle_beta 90.00
_cell_angle_gamma 90.00
loop_
_space_group_symop_operation_xyz
'x,y,z'
loop_
_atom_site_label
_atom_site_type_symbol
_atom_site_fract_x
_atom_site_fract_y
_atom_site_fract_z
K1 K 0.000 0.000 0.000
La1 La 0.500 0.502 0.502
Sn1 Sn 0.243 0.001 0.499
Sn2 Sn 0.243 0.499 0.001
Sn3 Sn 0.757 0.001 0.499
Sn4 Sn 0.757 0.499 0.001
O1 O 0.000 0.020 0.479
O2 O 0.000 0.479 0.020
O3 O 0.244 0.767 0.767
O4 O 0.279 0.278 0.721
O5 O 0.279 0.721 0.278
O6 O 0.296 0.255 0.255
O7 O 0.500 0.520 0.952
O8 O 0.500 0.952 0.520
O9 O 0.704 0.255 0.255
O10 O 0.721 0.278 0.721
O11 O 0.721 0.721 0.278
O12 O 0.756 0.767 0.767
```

The 12 most intense peaks (10° ≤ 2θ ≤ 80°), by intensity:
30.85 deg, 2.899 Å, rel. 1000
31.02 deg, 2.883 Å, rel. 497
21.80 deg, 4.077 Å, rel. 466
18.78 deg, 4.725 Å, rel. 326
21.56 deg, 4.122 Å, rel. 230
54.75 deg, 1.677 Å, rel. 228
55.01 deg, 1.669 Å, rel. 225
55.14 deg, 1.666 Å, rel. 210
44.54 deg, 2.034 Å, rel. 185
44.34 deg, 2.043 Å, rel. 177
43.93 deg, 2.061 Å, rel. 177
64.66 deg, 1.442 Å, rel. 108

---

(5)
The following is a simulated XRD peak list of Li2AgSn. It was derived from a structure optimized by DFT (GGA-PBE), using a wavelength of 1.5418 Å.

Structure:
```
data_Li2AgSn
_chemical_formula_sum 'Li2 Ag1 Sn1'
_space_group_name_H-M_alt 'P 1'
_space_group_IT_number 1
_cell_length_a 4.664
_cell_length_b 4.664
_cell_length_c 4.664
_cell_angle_alpha 60.00
_cell_angle_beta 60.00
_cell_angle_gamma 60.00
loop_
_space_group_symop_operation_xyz
'x,y,z'
loop_
_atom_site_label
_atom_site_type_symbol
_atom_site_fract_x
_atom_site_fract_y
_atom_site_fract_z
Li1 Li 0.000 0.000 0.000
Li2 Li 0.250 0.250 0.250
Ag1 Ag 0.500 0.500 0.500
Sn1 Sn 0.750 0.750 0.750
```

The 7 most intense peaks (10° ≤ 2θ ≤ 80°), by intensity:
23.36 deg, 3.808 Å, rel. 1000
38.61 deg, 2.332 Å, rel. 974
45.62 deg, 1.989 Å, rel. 508
69.87 deg, 1.346 Å, rel. 337
61.26 deg, 1.513 Å, rel. 210
55.75 deg, 1.649 Å, rel. 166
74.80 deg, 1.269 Å, rel. 158

---

(6)
The following is a simulated XRD peak list of Tl3Au. It was derived from a structure optimized by DFT (GGA-PBE), using a wavelength of 1.5418 Å.

Structure:
```
data_Tl3Au
_chemical_formula_sum 'Tl3 Au1'
_space_group_name_H-M_alt 'P 1'
_space_group_IT_number 1
_cell_length_a 4.788
_cell_length_b 4.788
_cell_length_c 4.788
_cell_angle_alpha 90.00
_cell_angle_beta 90.00
_cell_angle_gamma 90.00
loop_
_space_group_symop_operation_xyz
'x,y,z'
loop_
_atom_site_label
_atom_site_type_symbol
_atom_site_fract_x
_atom_site_fract_y
_atom_site_fract_z
Tl1 Tl 0.000 0.000 0.500
Tl2 Tl 0.000 0.500 0.000
Tl3 Tl 0.500 0.000 0.000
Au1 Au 0.500 0.500 0.500
```

The 5 most intense peaks (10° ≤ 2θ ≤ 80°), by intensity:
32.39 deg, 2.764 Å, rel. 1000
37.57 deg, 2.394 Å, rel. 506
64.55 deg, 1.444 Å, rel. 426
54.18 deg, 1.693 Å, rel. 358
67.80 deg, 1.382 Å, rel. 123

---

> Number 3 is which compound?

MgCd